Entry 1:
Diffraction record for Fe7Re6. The XRD peak list is simulated, not measured: it uses the GGA-PBE geometry in Alexandria and Cu Kα.

Structural model:
Unit cell a=8.9745 b=8.9745 c=8.9745 alpha=30.23 beta=30.23 gamma=30.23
Fractional coordinates of all 13 atoms:
Fe  0.0000  0.0000  0.0000
Fe  0.0918  0.0918  0.5886
Fe  0.0918  0.5886  0.0918
Fe  0.4114  0.9082  0.9082
Fe  0.5886  0.0918  0.0918
Fe  0.9082  0.4114  0.9082
Fe  0.9082  0.9082  0.4114
Re  0.1670  0.1670  0.1670
Re  0.3471  0.3471  0.3471
Re  0.4515  0.4515  0.4515
Re  0.5485  0.5485  0.5485
Re  0.6529  0.6529  0.6529
Re  0.8330  0.8330  0.8330

The 6 most intense peaks (10 to 90 degrees two-theta), low angle first:
38.47°, I 100
41.64°, I 66
44.11°, I 73
44.83°, I 69
71.75°, I 26
74.01°, I 23

---

Entry 2:
Diffraction record for FeRe3. The XRD peak list is simulated, not measured: it uses the GGA-PBE geometry in Alexandria and Cu Kα.

Structural model:
Unit cell a=2.7149 b=2.7149 c=7.5788 alpha=90.00 beta=90.00 gamma=90.00
Fractional coordinates of all 4 atoms:
Fe  0.0000  0.0000  0.0000
Re  0.0000  0.0000  0.5000
Re  0.5000  0.5000  0.2327
Re  0.5000  0.5000  0.7673

The 6 most intense peaks (10 to 90 degrees two-theta), low angle first:
35.11°, I 11
40.89°, I 100
47.35°, I 34
48.02°, I 14
69.73°, I 19
83.63°, I 26

---

Entry 3:
Diffraction record for FeRe2. The XRD peak list is simulated, not measured: it uses the GGA-PBE geometry in Alexandria and Cu Kα.

Structural model:
Unit cell a=7.0810 b=7.0810 c=4.3320 alpha=90.00 beta=90.00 gamma=157.91
Fractional coordinates of all 6 atoms:
Fe  0.1084  0.8916  0.7500
Fe  0.8916  0.1084  0.2500
Re  0.2254  0.7746  0.2500
Re  0.4458  0.5542  0.7500
Re  0.5542  0.4458  0.2500
Re  0.7746  0.2254  0.7500

The 6 most intense peaks (10 to 90 degrees two-theta), low angle first:
24.21°, I 22
38.45°, I 22
41.70°, I 38
43.96°, I 100
44.34°, I 45
85.02°, I 19